1.
For Fe2Ir7Ru3, a DFT-relaxed cell (GGA-PBE, Alexandria) gives the simulated PXRD pattern in this record (Cu Kα, 1.54184 Å).
Intensities are scaled so that the largest is 100.

Cell and atoms:
```
data_Fe2Ir7Ru3
_cell_length_a 4.6886
_cell_length_b 4.6886
_cell_length_c 8.5342
_cell_angle_alpha 100.43
_cell_angle_beta 100.43
_cell_angle_gamma 109.68
_symmetry_space_group_name_H-M 'P 1'
_symmetry_Int_Tables_number 1
loop_
_symmetry_equiv_pos_as_xyz
'x,y,z'
loop_
_atom_site_label
_atom_site_fract_x
_atom_site_fract_y
_atom_site_fract_z
Fe1 0.1668 0.1668 0.3337
Fe2 0.8332 0.8332 0.6663
Ir1 0.0844 0.5844 0.1698
Ir2 0.2496 0.7504 0.5000
Ir3 0.4156 0.9156 0.8302
Ir4 0.5000 0.5000 0.0000
Ir5 0.5844 0.0844 0.1698
Ir6 0.7504 0.2496 0.5000
Ir7 0.9156 0.4156 0.8302
Ru1 0.0000 0.0000 0.0000
Ru2 0.3326 0.3326 0.6642
Ru3 0.6674 0.6674 0.3358
```

The 10 most intense peaks (10° ≤ 2θ ≤ 90°), in order of falling intensity:
Position (°2θ), d [Å], I (rel.)
40.88, 2.207, 100.0
47.63, 1.909, 32.3
69.49, 1.353, 20.8
47.43, 1.917, 16.3
83.75, 1.155, 12.7
83.96, 1.153, 12.6
84.11, 1.151, 12.6
88.61, 1.104, 11.3
69.64, 1.350, 10.3
23.20, 3.833, 9.1

=====

2.
For BaGa4Ge4, a DFT-relaxed cell (GGA-PBE, Alexandria) gives the simulated PXRD pattern in this record (Cu Kα, 1.54184 Å).
Intensities are scaled so that the largest is 100.

Cell and atoms:
```
data_BaGa4Ge4
_cell_length_a 6.7964
_cell_length_b 6.7964
_cell_length_c 8.8207
_cell_angle_alpha 90.00
_cell_angle_beta 90.00
_cell_angle_gamma 90.00
_symmetry_space_group_name_H-M 'P 1'
_symmetry_Int_Tables_number 1
loop_
_symmetry_equiv_pos_as_xyz
'x,y,z'
loop_
_atom_site_label
_atom_site_fract_x
_atom_site_fract_y
_atom_site_fract_z
Ba1 0.2500 0.7500 0.2500
Ba2 0.7500 0.2500 0.7500
Ga1 0.0250 0.2500 0.1108
Ga2 0.2500 0.0250 0.6108
Ga3 0.2500 0.4750 0.6108
Ga4 0.4750 0.2500 0.1108
Ga5 0.5250 0.7500 0.8892
Ga6 0.7500 0.5250 0.3892
Ga7 0.7500 0.9750 0.3892
Ga8 0.9750 0.7500 0.8892
Ge1 0.0456 0.2500 0.4080
Ge2 0.2500 0.0456 0.9080
Ge3 0.2500 0.4544 0.9080
Ge4 0.4544 0.2500 0.4080
Ge5 0.5456 0.7500 0.5920
Ge6 0.7500 0.5456 0.0920
Ge7 0.7500 0.9544 0.0920
Ge8 0.9544 0.7500 0.5920
```

The 10 most intense peaks (10° ≤ 2θ ≤ 90°), in order of falling intensity:
Position (°2θ), d [Å], I (rel.)
31.12, 2.874, 100.0
33.21, 2.698, 52.3
50.88, 1.795, 38.3
42.83, 2.111, 27.4
56.65, 1.625, 26.2
37.43, 2.403, 22.7
27.45, 3.249, 19.4
53.97, 1.699, 17.8
77.34, 1.234, 15.3
76.20, 1.249, 13.0